Entry 1:
Diffraction record for Tb2Ce4Rh9. The powder diffractogram is computed, not measured: it uses a DFT-relaxed cell (GGA-PBE, Alexandria) and a wavelength of 1.5418 Å.
Peak positions follow from Bragg's law for the DFT cell and can differ from measured ones.

Most intense lines, 2θ = 10–90°, in order of rising 2θ:
d [Å]	2θ (°)	I (rel.)
3.238	27.55	24
2.576	34.83	25
2.302	39.14	78
2.278	39.56	100
1.775	51.47	12
1.619	56.87	26
1.320	71.49	26
1.315	71.77	17
1.203	79.70	14
1.139	85.19	11

Atomic structure:
Cell lengths 4.5562, 4.5562, 17.0021 Å; angles 90.00, 90.00, 120.00 degrees
Space group P-3m1 (No. 164)
Unique sites:
1 Tb 0.3333 0.6667 0.2518 (multiplicity 2)
2 Ce 0.3333 0.6667 0.6010 (multiplicity 2)
3 Ce 0.3333 0.6667 0.9037 (multiplicity 2)
4 Rh 0.0000 0.0000 0.0000 (multiplicity 1)
5 Rh 0.0000 0.0000 0.1689 (multiplicity 2)
6 Rh 0.0000 0.0000 0.3372 (multiplicity 2)
7 Rh 0.3333 0.6667 0.0803 (multiplicity 2)
8 Rh 0.3333 0.6667 0.4302 (multiplicity 2)


Entry 2:
Diffraction record for Tb2Y6Hg. The powder diffractogram is computed, not measured: it uses a DFT-relaxed cell (GGA-PBE, Alexandria) and a wavelength of 1.5418 Å.
Peak positions follow from Bragg's law for the DFT cell and can differ from measured ones.

Most intense lines, 2θ = 10–90°, in order of rising 2θ:
d [Å]	2θ (°)	I (rel.)
4.934	17.98	34
3.257	27.39	68
2.905	30.78	58
2.744	32.63	100
2.687	33.35	81
2.403	37.43	51
2.370	37.97	37
1.725	53.09	25
1.645	55.88	27
1.489	62.35	30

Atomic structure:
Cell lengths 9.340, 3.546, 9.884 Å; angles 90.00, 118.15, 90.00 degrees
Space group P2/m (No. 10)
Unique sites:
1 Tb 0.182 0.000 0.363 (multiplicity 2)
2 Y 0.162 0.500 0.676 (multiplicity 2)
3 Y 0.205 0.000 0.000 (multiplicity 2)
4 Y 0.485 0.500 0.324 (multiplicity 2)
5 Hg 0.500 0.500 0.000 (multiplicity 1)


Number 2 is which compound? Tb2Y6Hg